Record 1
Structure and simulated XRD peak list of LiVP2O8 (a crystal structure in the Materials Project, relaxed with PBE+U; Cu Kα X-rays).

Structure:
```
data_LiVP2O8
_symmetry_space_group_name_H-M 'P 1 21 1'
_symmetry_Int_Tables_number 4
_cell_length_a 5.0673
_cell_length_b 7.4760
_cell_length_c 7.6750
_cell_angle_alpha 90.00
_cell_angle_beta 95.44
_cell_angle_gamma 90.00
loop_
_symmetry_equiv_pos_as_xyz
'x,y,z'
'-x,y+1/2,-z'
loop_
_atom_site_label
_atom_site_fract_x
_atom_site_fract_y
_atom_site_fract_z
_atom_site_occupancy
Li1 0.1590 0.0000 0.1689 1
V1 0.2414 0.3872 0.2529 1
P1 0.2145 0.0650 0.5431 1
P2 0.3050 0.6897 0.9535 1
O1 0.0137 0.5587 0.3309 1
O2 0.0465 0.7373 0.8291 1
O3 0.1685 0.9296 0.4018 1
O4 0.2303 0.4977 0.0235 1
O5 0.2561 0.2578 0.4733 1
O6 0.3568 0.8178 0.1000 1
O7 0.4613 0.1858 0.1651 1
O8 0.4696 0.0157 0.6708 1
```

Most intense lines, 2θ from 15° to 90°, in order of falling intensity:
h k l	2θ (°)	I (rel.)
0 1 1	16.59	100.0
1 1 1	25.07	56.3
1 1 -1	23.44	56.1
1 0 1	22.02	38.4
0 1 2	26.20	27.9
1 2 -1	31.38	27.2
1 1 -2	30.43	20.8
0 2 1	26.55	17.4

---

Record 2
Structure and simulated XRD peak list of Li7Mn5O12 (a crystal structure in the Materials Project, relaxed with PBE+U; Cu Kα X-rays).

Structure:
```
data_Li7Mn5O12
_symmetry_space_group_name_H-M 'C 1 2/m 1'
_symmetry_Int_Tables_number 12
_cell_length_a 29.4400
_cell_length_b 2.8753
_cell_length_c 5.3564
_cell_angle_alpha 90.00
_cell_angle_beta 97.61
_cell_angle_gamma 90.00
loop_
_symmetry_equiv_pos_as_xyz
'x,y,z'
'-x,-y,-z'
'-x,y,-z'
'x,-y,z'
'x+1/2,y+1/2,z'
'-x+1/2,-y+1/2,-z'
'-x+1/2,y+1/2,-z'
'x+1/2,-y+1/2,z'
loop_
_atom_site_label
_atom_site_fract_x
_atom_site_fract_y
_atom_site_fract_z
_atom_site_occupancy
Li1 0.0000 0.0000 0.0000 1
Li2 0.0777 0.5000 0.2348 1
Li3 0.0790 0.0000 0.7342 1
Li4 0.2499 0.0000 0.2496 1
Mn1 0.0000 0.5000 0.5000 1
Mn2 0.1656 0.5000 0.9961 1
Mn3 0.1665 0.0000 0.4964 1
O1 0.0371 0.5000 0.8282 1
O2 0.0376 0.0000 0.3860 1
O3 0.1275 0.0000 0.1064 1
O4 0.1289 0.5000 0.6060 1
O5 0.2052 0.0000 0.8949 1
O6 0.2058 0.5000 0.3917 1
```

Most intense lines, 2θ from 15° to 90°, in order of falling intensity:
h k l	2θ (°)	I (rel.)
6 0 0	18.24	100.0
9 1 -1	44.00	58.1
6 0 2	40.83	36.5
3 1 -1	36.14	23.2
0 0 2	33.77	19.0
3 1 -3	61.16	17.7
15 1 1	62.00	17.2
9 1 1	46.95	10.0

---

Record 3
Structure and simulated XRD peak list of Rb2LiNd2W4O16 (a crystal structure in the Materials Project, relaxed with PBE+U; Cu Kα X-rays).

Structure:
```
data_Rb2LiNd2W4O16
_symmetry_space_group_name_H-M 'P 1'
_symmetry_Int_Tables_number 1
_cell_length_a 7.5805
_cell_length_b 7.5974
_cell_length_c 8.1015
_cell_angle_alpha 88.34
_cell_angle_beta 62.64
_cell_angle_gamma 62.53
loop_
_symmetry_equiv_pos_as_xyz
'x,y,z'
loop_
_atom_site_label
_atom_site_fract_x
_atom_site_fract_y
_atom_site_fract_z
_atom_site_occupancy
Rb1 0.0000 0.0000 0.0000 1
Rb2 0.4268 0.4728 0.6943 1
Li1 0.8589 0.2180 0.3702 1
Nd1 0.4850 0.9797 0.0495 1
Nd2 0.9655 0.4650 0.6390 1
W1 0.0303 0.9084 0.5402 1
W2 0.4419 0.5300 0.1618 1
W3 0.5295 0.9349 0.5243 1
W4 0.9369 0.5326 0.1623 1
O1 0.0123 0.4746 0.9126 1
O2 0.0966 0.2662 0.1873 1
O3 0.1655 0.5963 0.1081 1
O4 0.2069 0.5848 0.4296 1
O5 0.2574 0.8495 0.2556 1
O6 0.2963 0.8605 0.5797 1
O7 0.3508 0.1878 0.5011 1
O8 0.4421 0.9761 0.7795 1
O9 0.5345 0.2648 0.0739 1
O10 0.5889 0.6001 0.9332 1
O11 0.6715 0.4588 0.2292 1
O12 0.6880 0.8230 0.2228 1
O13 0.7711 0.6256 0.4588 1
O14 0.7819 0.9921 0.4603 1
O15 0.8690 0.8438 0.7657 1
O16 0.9149 0.1993 0.5847 1
```

Most intense lines, 2θ from 15° to 90°, in order of falling intensity:
h k l	2θ (°)	I (rel.)
0 2 0	27.21	100.0
2 2 0	29.01	84.5
2 0 2	28.38	82.8
0 0 2	25.46	64.6
2 0 0	30.77	60.4
0 2 -2	32.80	43.6
0 1 2	31.66	43.2
0 1 -2	25.93	40.7

---

Record 4
Structure and simulated XRD peak list of NaCo2O4 (a crystal structure in the Materials Project, relaxed with PBE+U; Cu Kα X-rays).

Structure:
```
data_NaCo2O4
_symmetry_space_group_name_H-M 'P 1'
_symmetry_Int_Tables_number 1
_cell_length_a 2.9850
_cell_length_b 5.0929
_cell_length_c 5.9401
_cell_angle_alpha 70.69
_cell_angle_beta 87.44
_cell_angle_gamma 86.31
loop_
_symmetry_equiv_pos_as_xyz
'x,y,z'
loop_
_atom_site_label
_atom_site_fract_x
_atom_site_fract_y
_atom_site_fract_z
_atom_site_occupancy
Na1 0.0000 0.0000 0.0000 1
Co1 0.5119 0.3501 0.4834 1
Co2 0.9940 0.8323 0.5227 1
O1 0.0670 0.4291 0.6797 1
O2 0.5006 0.9624 0.6882 1
O3 0.5074 0.7438 0.3232 1
O4 0.9444 0.2478 0.3076 1
```

Most intense lines, 2θ from 15° to 90°, in order of falling intensity:
h k l	2θ (°)	I (rel.)
0 0 1	15.81	100.0
0 2 0	37.49	21.2
1 1 2	42.53	18.7
1 1 1	35.13	15.4
-1 1 2	45.15	14.1
0 2 -1	45.76	13.8
0 0 2	31.94	10.4
1 1 0	34.60	7.4

---

Record 5
Structure and simulated XRD peak list of La4MnS6O (a crystal structure in the Materials Project, relaxed with PBE+U; Cu Kα X-rays).

Structure:
```
data_La4MnS6O
_symmetry_space_group_name_H-M 'P 63 m c'
_symmetry_Int_Tables_number 186
_symmetry_space_group_name_Hall 'P 6c -2c'
_cell_length_a 9.5081
_cell_length_b 9.5081
_cell_length_c 6.8659
_cell_angle_alpha 90.00
_cell_angle_beta 90.00
_cell_angle_gamma 120.00
loop_
_atom_site_label
_atom_site_fract_x
_atom_site_fract_y
_atom_site_fract_z
_atom_site_occupancy
La1 0.1973 0.3945 0.0000 1
La2 0.3333 0.6667 0.5319 1
Mn1 0.0000 0.0000 0.3015 1
S1 0.0617 0.5309 0.2779 1
S2 0.1235 0.2470 0.6023 1
O1 0.3333 0.6667 0.8779 1
```

Most intense lines, 2θ from 15° to 90°, in order of falling intensity:
h k l	2θ (°)	I (rel.)
2 0 1	25.22	100.0
2 0 2	34.00	58.4
3 0 1	35.21	41.8
2 2 0	37.85	41.1
2 0 3	45.34	30.6
2 1 1	31.56	25.0
0 0 2	25.95	23.0
4 0 1	46.03	15.6

---

Record 6
Structure and simulated XRD peak list of MgMn4O4F6 (a crystal structure in the Materials Project, relaxed with PBE+U; Cu Kα X-rays).

Structure:
```
data_MgMn4O4F6
_symmetry_space_group_name_H-M 'P 1'
_symmetry_Int_Tables_number 1
_cell_length_a 5.0925
_cell_length_b 5.9774
_cell_length_c 6.9199
_cell_angle_alpha 73.38
_cell_angle_beta 89.65
_cell_angle_gamma 65.32
loop_
_symmetry_equiv_pos_as_xyz
'x,y,z'
loop_
_atom_site_label
_atom_site_fract_x
_atom_site_fract_y
_atom_site_fract_z
_atom_site_occupancy
Mg1 0.0000 0.0000 0.0000 1
Mn1 0.2534 0.4810 0.9668 1
Mn2 0.2924 0.4881 0.4711 1
Mn3 0.6567 0.7047 0.2294 1
Mn4 0.6728 0.7377 0.7117 1
O1 0.0824 0.5082 0.7096 1
O2 0.3854 0.5650 0.1897 1
O3 0.5019 0.6935 0.4846 1
O4 0.8422 0.7269 0.9744 1
F1 0.0361 0.3699 0.3769 1
F2 0.2725 0.8605 0.8043 1
F3 0.2862 0.1024 0.0855 1
F4 0.6056 0.1151 0.5974 1
F5 0.6607 0.3373 0.9014 1
F6 0.8704 0.8961 0.2763 1
```

Most intense lines, 2θ from 15° to 90°, in order of falling intensity:
h k l	2θ (°)	I (rel.)
0 1 0	17.18	100.0
1 -1 0	31.19	72.3
0 1 2	27.24	43.2
1 0 -2	31.35	37.3
1 2 0	31.56	31.6
2 3 2	52.13	25.8
1 -2 0	47.33	23.0
1 1 -2	35.98	20.0

---

Record 7
Structure and simulated XRD peak list of Mn6O5F7 (a crystal structure in the Materials Project, relaxed with PBE+U; Cu Kα X-rays).

Structure:
```
data_Mn6O5F7
_symmetry_space_group_name_H-M 'P 1'
_symmetry_Int_Tables_number 1
_cell_length_a 4.7240
_cell_length_b 5.7364
_cell_length_c 15.6452
_cell_angle_alpha 89.24
_cell_angle_beta 89.94
_cell_angle_gamma 86.96
loop_
_symmetry_equiv_pos_as_xyz
'x,y,z'
loop_
_atom_site_label
_atom_site_fract_x
_atom_site_fract_y
_atom_site_fract_z
_atom_site_occupancy
Mn1 0.0000 0.0000 0.0000 1
Mn2 0.9997 0.0053 0.6749 1
Mn3 0.0191 0.0097 0.3338 1
Mn4 0.0195 0.3187 0.8399 1
Mn5 0.4571 0.8170 0.1637 1
Mn6 0.4678 0.4831 0.3355 1
Mn7 0.4757 0.7900 0.8281 1
Mn8 0.4775 0.4685 0.6706 1
Mn9 0.4885 0.8108 0.4941 1
Mn10 0.4928 0.5006 0.9956 1
Mn11 0.9726 0.2907 0.1784 1
Mn12 0.9957 0.3001 0.5049 1
O1 0.2037 0.0407 0.2268 1
O2 0.2140 0.2468 0.7342 1
O3 0.2179 0.2586 0.3971 1
O4 0.2644 0.7655 0.0496 1
O5 0.2646 0.7628 0.3852 1
O6 0.2694 0.7560 0.7231 1
O7 0.2863 0.5441 0.8872 1
O8 0.7546 0.2543 0.2822 1
O9 0.7754 0.2614 0.6133 1
O10 0.7935 0.2783 0.9466 1
F1 0.2211 0.2622 0.0705 1
F2 0.2413 0.0430 0.5611 1
F3 0.2480 0.0445 0.8977 1
F4 0.2497 0.5373 0.2202 1
F5 0.2684 0.5362 0.5560 1
F6 0.7153 0.5199 0.1112 1
F7 0.7168 0.7556 0.2740 1
F8 0.7311 0.5267 0.4458 1
F9 0.7342 0.7775 0.9328 1
F10 0.7413 0.0213 0.7858 1
F11 0.7432 0.7744 0.6103 1
F12 0.7480 0.5224 0.7745 1
F13 0.7563 0.0245 0.1048 1
F14 0.7831 0.0238 0.4422 1
```

Most intense lines, 2θ from 15° to 90°, in order of falling intensity:
h k l	2θ (°)	I (rel.)
1 1 0	23.79	100.0
1 1 -3	29.52	91.2
1 1 3	29.26	89.7
-1 1 3	30.34	88.2
2 0 -6	52.30	86.2
1 -1 0	25.08	84.5
1 -1 3	30.58	83.3
0 2 -9	62.93	36.1

---

Record 8
Structure and simulated XRD peak list of Sr2MgVO4 (a crystal structure in the Materials Project, relaxed with PBE+U; Cu Kα X-rays).

Structure:
```
data_Sr2MgVO4
_symmetry_space_group_name_H-M 'C 1 m 1'
_symmetry_Int_Tables_number 8
_cell_length_a 5.5459
_cell_length_b 5.4929
_cell_length_c 7.7635
_cell_angle_alpha 90.00
_cell_angle_beta 92.40
_cell_angle_gamma 90.00
loop_
_symmetry_equiv_pos_as_xyz
'x,y,z'
'x,-y,z'
'x+1/2,y+1/2,z'
'x+1/2,-y+1/2,z'
loop_
_atom_site_label
_atom_site_fract_x
_atom_site_fract_y
_atom_site_fract_z
_atom_site_occupancy
Sr1 0.0000 0.0000 0.0000 1
Sr2 0.0035 0.5000 0.3271 1
Mg1 0.4920 0.0000 0.7533 1
V1 0.4814 0.5000 0.5807 1
O1 0.0116 0.5000 0.0142 1
O2 0.0465 0.0000 0.3077 1
O3 0.2416 0.2535 0.6753 1
```

Most intense lines, 2θ from 15° to 90°, in order of falling intensity:
h k l	2θ (°)	I (rel.)
1 1 -2	32.06	100.0
1 1 2	33.05	96.6
2 2 0	46.56	91.3
0 2 0	32.60	85.2
2 0 0	32.31	84.3
0 0 3	34.69	78.4
1 1 -1	25.25	44.4
2 2 -3	58.44	44.1